[1]
Computed PXRD pattern
Compound: NdCdP
Radiation: Cu Kα (λ = 1.5418 Å)
Structure: the GGA-PBE geometry in Alexandria

Structural model:
Cell: 10.7280 4.2925 6.5610 Å, 90.00 90.00 90.00°
Space group Pnma (No. 62)
Inequivalent atoms, fractional coordinates:
Nd1 0.1641 0.2500 0.0370
Cd1 0.1083 0.2500 0.5232
P1 0.0759 0.7500 0.7729

Main lines, in order of falling intensity (10 to 90 degrees two-theta):
3.351 Å, I 100, hkl 2 1 0
2.344 Å, I 99, hkl 2 1 2
3.280 Å, I 45, hkl 0 0 2
2.534 Å, I 29, hkl 3 1 1
2.146 Å, I 27, hkl 0 2 0
1.409 Å, I 25, hkl 7 1 1
3.139 Å, I 24, hkl 3 0 1
2.682 Å, I 23, hkl 4 0 0
1.796 Å, I 18, hkl 0 2 2
2.076 Å, I 15, hkl 4 0 2
2.039 Å, I 15, hkl 5 0 1
1.274 Å, I 14, hkl 2 3 2

---

[2]
Computed PXRD pattern
Compound: GdZr
Radiation: Cu Kα (λ = 1.5418 Å)
Structure: the GGA-PBE geometry in Alexandria

Structural model:
Cell: 3.2731 4.8736 6.9585 Å, 90.00 103.42 90.00°
Space group P2_1/m (No. 11)
Inequivalent atoms, fractional coordinates:
Gd1 0.0777 0.2500 0.1471
Zr1 0.3029 0.2500 0.6083

Main lines, in order of falling intensity (10 to 90 degrees two-theta):
2.780 Å, I 100, hkl 0 1 2
2.664 Å, I 76, hkl 1 1 0
2.437 Å, I 37, hkl 0 2 0
3.181 Å, I 28, hkl 1 0 -1
2.328 Å, I 23, hkl 1 1 1
3.955 Å, I 17, hkl 0 1 1
2.090 Å, I 15, hkl 1 0 2
1.935 Å, I 14, hkl 1 2 -1
2.083 Å, I 14, hkl 1 0 -3
1.465 Å, I 14, hkl 0 3 2
1.586 Å, I 13, hkl 1 2 2
1.409 Å, I 12, hkl 2 1 -3

---

[3]
Computed PXRD pattern
Compound: Li2CaCd2
Radiation: Cu Kα (λ = 1.5418 Å)
Structure: the GGA-PBE geometry in Alexandria

Structural model:
Cell: 4.2670 4.2670 13.3788 Å, 90.00 90.00 90.00°
Space group I4/mmm (No. 139)
Inequivalent atoms, fractional coordinates:
Li1 0.0000 0.5000 0.2500
Ca1 0.0000 0.0000 0.0000
Cd1 0.0000 0.0000 0.3909

Main lines, in order of falling intensity (10 to 90 degrees two-theta):
4.065 Å, I 100, hkl 1 0 1
3.017 Å, I 90, hkl 1 1 0
2.267 Å, I 80, hkl 1 0 5
3.083 Å, I 62, hkl 1 0 3
1.554 Å, I 46, hkl 2 1 5
2.134 Å, I 38, hkl 2 0 0
2.240 Å, I 36, hkl 1 1 4
6.689 Å, I 27, hkl 0 0 2
1.889 Å, I 25, hkl 2 1 1
1.754 Å, I 22, hkl 2 1 3
3.345 Å, I 21, hkl 0 0 4
2.750 Å, I 20, hkl 1 1 2

---

[4]
Computed PXRD pattern
Compound: Na3Tl4Hg2
Radiation: Cu Kα (λ = 1.5418 Å)
Structure: the GGA-PBE geometry in Alexandria

Structural model:
Cell: 15.8763 9.2021 6.9744 Å, 90.00 90.01 90.00°
Space group C2/c (No. 15)
Inequivalent atoms, fractional coordinates:
Na1 0.0000 0.0002 0.2500
Na2 0.1708 0.5004 0.2500
Tl1 0.0046 0.3308 0.0000
Tl2 0.1656 0.1615 0.5009
Hg1 0.1701 0.1682 0.0012

Main lines, in order of falling intensity (10 to 90 degrees two-theta):
2.111 Å, I 100, hkl 3 3 2
2.654 Å, I 81, hkl 3 3 0
4.592 Å, I 81, hkl 3 1 0
2.777 Å, I 78, hkl 3 1 2
3.487 Å, I 65, hkl 0 0 2
2.646 Å, I 40, hkl 6 0 0
1.457 Å, I 39, hkl 3 3 -4
1.400 Å, I 18, hkl 9 3 -2
1.555 Å, I 18, hkl 6 4 2
1.916 Å, I 18, hkl 6 2 -2
1.529 Å, I 15, hkl 9 3 0
1.150 Å, I 13, hkl 9 3 -4

---

[5]
Computed PXRD pattern
Compound: Y2Ge4Ir5
Radiation: Cu Kα (λ = 1.5418 Å)
Structure: the GGA-PBE geometry in Alexandria

Structural model:
Cell: 5.6372 9.5905 14.9898 Å, 90.00 90.00 90.00°
Space group Fmmm (No. 69)
Inequivalent atoms, fractional coordinates:
Y1 0.0000 0.0000 0.1201
Ge1 0.0000 0.1571 0.3692
Ir1 0.0000 0.0000 0.5000
Ir2 0.2500 0.2500 0.0000
Ir3 0.2500 0.2500 0.2500

Main lines, in order of falling intensity (10 to 90 degrees two-theta):
2.430 Å, I 100, hkl 2 2 0
2.039 Å, I 78, hkl 2 2 4
2.253 Å, I 55, hkl 2 0 4
4.795 Å, I 44, hkl 0 2 0
2.953 Å, I 42, hkl 0 2 4
2.020 Å, I 35, hkl 0 4 4
1.874 Å, I 29, hkl 0 0 8
1.484 Å, I 28, hkl 2 2 8
2.398 Å, I 25, hkl 0 4 0
1.117 Å, I 22, hkl 2 6 8
1.390 Å, I 22, hkl 2 6 0
3.747 Å, I 20, hkl 0 0 4

---

[6]
Computed PXRD pattern
Compound: PrNd4Tm2Sc
Radiation: Cu Kα (λ = 1.5418 Å)
Structure: the GGA-PBE geometry in Alexandria

Structural model:
Cell: 5.0790 5.0964 10.0488 Å, 90.00 90.00 90.00°
Space group Pmmm (No. 47)
Inequivalent atoms, fractional coordinates:
Pr1 0.0000 0.0000 0.0000
Nd1 0.0000 0.5000 0.2500
Nd2 0.5000 0.0000 0.2504
Tm1 0.0000 0.0000 0.5000
Tm2 0.5000 0.5000 0.5000
Sc1 0.5000 0.5000 0.0000

Main lines, in order of falling intensity (10 to 90 degrees two-theta):
2.925 Å, I 100, hkl 1 1 2
1.787 Å, I 24, hkl 2 0 4
2.548 Å, I 17, hkl 0 2 0
2.540 Å, I 17, hkl 2 0 0
2.512 Å, I 16, hkl 0 0 4
1.534 Å, I 14, hkl 1 3 2
1.530 Å, I 14, hkl 3 1 2
1.518 Å, I 14, hkl 1 1 6
1.463 Å, I 12, hkl 2 2 4
1.799 Å, I 12, hkl 2 2 0
1.166 Å, I 6, hkl 3 3 2
1.159 Å, I 6, hkl 3 1 6